Entry 1:
Calculated X-ray powder pattern
Compound: Zr3Sc4O12
Radiation: λ = 1.5418 Å (Cu Kα)
Structure: a crystal structure in the Materials Project, relaxed with GGA-PBE

Largest 6 diffraction maxima, sorted by position, 2θ = 15–90°:
2θ (°)	I_rel	index
30.4	94	1 -2 0
30.5	100	2 0 -2
35.3	22	1 2 -2
50.7	34	-3 2 2
50.8	18	1 -3 4
60.5	21	1 3 -6

Structural model:
```
data_Zr3Sc4O12
_chemical_formula_sum 'Zr6 Sc8 O24'
_cell_length_a 6.2321
_cell_length_b 6.2499
_cell_length_c 12.3978
_cell_angle_alpha 99.38
_cell_angle_beta 99.43
_cell_angle_gamma 99.67
_symmetry_space_group_name_H-M 'P -1'
_symmetry_Int_Tables_number 2
loop_
_symmetry_equiv_pos_as_xyz
'x,y,z'
'-x,-y,-z'
loop_
_atom_site_label
_atom_site_type_symbol
_atom_site_fract_x
_atom_site_fract_y
_atom_site_fract_z
Zr1 Zr 0.0064 0.0033 0.2490
Zr2 Zr 0.1416 0.6126 0.9063
Zr3 Zr 0.3157 0.1427 0.5567
Sc1 Sc 0.1378 0.6036 0.4068
Sc2 Sc 0.3232 0.1413 0.0548
Sc3 Sc 0.3915 0.6831 0.1793
Sc4 Sc 0.3951 0.6789 0.6807
O1 O 0.0583 0.6808 0.1999
O2 O 0.0639 0.6756 0.7093
O3 O 0.0891 0.9385 0.4116
O4 O 0.0977 0.9410 0.9120
O5 O 0.1778 0.4180 0.0368
O6 O 0.1786 0.4188 0.5368
O7 O 0.3200 0.0975 0.7196
O8 O 0.3242 0.0981 0.2210
O9 O 0.4182 0.8188 0.0388
O10 O 0.4203 0.5812 0.3409
O11 O 0.4209 0.5733 0.8399
O12 O 0.4259 0.8228 0.5404
```


Entry 2:
Calculated X-ray powder pattern
Compound: Na2PdC4O10
Radiation: λ = 1.5418 Å (Cu Kα)
Structure: a crystal structure in the Materials Project, relaxed with GGA-PBE

Largest 6 diffraction maxima, sorted by position, 2θ = 15–90°:
2θ (°)	I_rel	index
18.4	37	0 1 -1
22.6	29	1 0 0
24.3	100	1 0 -1
26.3	28	1 1 -1
29.1	53	-1 1 1
32.2	29	-1 1 2

Structural model:
```
data_Na2PdC4O10
_chemical_formula_sum 'Na2 Pd1 C4 O10'
_cell_length_a 4.0677
_cell_length_b 7.2646
_cell_length_c 9.7891
_cell_angle_alpha 72.68
_cell_angle_beta 87.17
_cell_angle_gamma 75.24
_symmetry_space_group_name_H-M 'P -1'
_symmetry_Int_Tables_number 2
loop_
_symmetry_equiv_pos_as_xyz
'x,y,z'
'-x,-y,-z'
loop_
_atom_site_label
_atom_site_type_symbol
_atom_site_fract_x
_atom_site_fract_y
_atom_site_fract_z
Na1 Na 0.1201 0.2006 0.0806
Pd1 Pd 0.5000 0.5000 0.5000
C1 C 0.2406 0.5252 0.2343
C2 C 0.3329 0.7267 0.2151
O1 O 0.1024 0.5022 0.1325
O2 O 0.2775 0.8560 0.0971
O3 O 0.3217 0.3940 0.3577
O4 O 0.3684 0.9001 0.7761
O5 O 0.4716 0.7409 0.3265
```


Entry 3:
Calculated X-ray powder pattern
Compound: Cs2Au2Se3
Radiation: λ = 1.5418 Å (Cu Kα)
Structure: a crystal structure in the Materials Project, relaxed with GGA-PBE

Largest 6 diffraction maxima, sorted by position, 2θ = 15–90°:
2θ (°)	I_rel	index
22.0	42	2 2 0
24.7	69	2 2 -1
29.6	100	3 1 -1
30.3	41	3 1 1
32.1	58	1 3 2
41.6	49	1 5 -2

Structural model:
```
data_Cs2Au2Se3
_chemical_formula_sum 'Cs8 Au8 Se12'
_cell_length_a 10.0082
_cell_length_b 13.6475
_cell_length_c 7.6174
_cell_angle_alpha 90.00
_cell_angle_beta 91.76
_cell_angle_gamma 90.00
_symmetry_space_group_name_H-M 'C 1 2/c 1'
_symmetry_Int_Tables_number 15
loop_
_symmetry_equiv_pos_as_xyz
'x,y,z'
'-x,-y,-z'
'-x,y,-z+1/2'
'x,-y,z+1/2'
'x+1/2,y+1/2,z'
'-x+1/2,-y+1/2,-z'
'-x+1/2,y+1/2,-z+1/2'
'x+1/2,-y+1/2,z+1/2'
loop_
_atom_site_label
_atom_site_type_symbol
_atom_site_fract_x
_atom_site_fract_y
_atom_site_fract_z
Cs1 Cs 0.2393 0.1049 0.1330
Au1 Au 0.0651 0.2885 0.4586
Se1 Se 0.0000 0.4172 0.2500
Se2 Se 0.1080 0.1588 0.6759
```